(1)
For CoCuOs, a GGA-PBE-relaxed structure gives the calculated powder diffraction line list in this record (a wavelength of 1.5418 Å).
Intensities are scaled so that the largest is 100.

Most intense lines, 2θ = 10–90°, by angle:
2θ/deg	I/Imax	hkl
14.0	58	0 0 1
28.2	14	0 0 2
39.4	15	1 0 0
42.0	100	0 1 1
42.9	26	0 0 3
49.2	62	1 0 2
71.4	17	1 1 0
72.7	19	0 1 4
86.5	12	2 0 1
87.1	20	1 1 3

Structure:
Cell lengths 2.6409, 2.6409, 6.3282 Å; angles 90.00, 90.00, 120.00 degrees
Space group P3m1 (No. 156)
Symmetry-distinct sites (fractional):
Co (0.0000, 0.0000, 0.0000) [1 per cell]
Cu (0.3333, 0.6667, 0.3273) [1 per cell]
Os (0.6667, 0.3333, 0.6819) [1 per cell]



(2)
For Co3CuPb, a GGA-PBE-relaxed structure gives the calculated powder diffraction line list in this record (a wavelength of 1.5418 Å).
Intensities are scaled so that the largest is 100.

Most intense lines, 2θ = 10–90°, by angle:
2θ/deg	I/Imax	hkl
20.2	12	1 0 0
28.7	100	1 1 0
35.4	91	1 1 1
41.1	91	2 0 0
50.9	43	2 1 1
59.5	59	2 2 0
67.4	19	3 1 0
71.1	35	3 1 1
74.8	20	2 2 2
82.0	23	3 2 1

Structure:
Cell lengths 4.397, 4.397, 4.397 Å; angles 90.00, 90.00, 90.00 degrees
Space group Pm-3m (No. 221)
Symmetry-distinct sites (fractional):
Co (0.000, 0.000, 0.500) [3 per cell]
Cu (0.000, 0.000, 0.000) [1 per cell]
Pb (0.500, 0.500, 0.500) [1 per cell]



(3)
For CoCu6Pd8, a GGA-PBE-relaxed structure gives the calculated powder diffraction line list in this record (a wavelength of 1.5418 Å).
Intensities are scaled so that the largest is 100.

Most intense lines, 2θ = 10–90°, by angle:
2θ/deg	I/Imax	hkl
37.8	28	2 2 0
39.1	100	2 0 1
39.4	94	1 3 0
43.7	88	1 2 1
46.5	25	3 0 1
48.1	26	2 3 0
50.7	22	1 4 0
61.4	18	5 -4 1
78.5	19	3 4 1
81.0	20	4 -1 2

Structure:
Cell lengths 9.5216, 9.5216, 2.7756 Å; angles 90.00, 90.00, 120.00 degrees
Space group P-3 (No. 147)
Symmetry-distinct sites (fractional):
Co (0.0000, 0.0000, 0.0000) [1 per cell]
Cu (0.0890, 0.6120, 0.7539) [6 per cell]
Pd (0.0814, 0.2949, 0.7406) [6 per cell]
Pd (0.3333, 0.6667, 0.2541) [2 per cell]



(4)
For CoCu2Pd8, a GGA-PBE-relaxed structure gives the calculated powder diffraction line list in this record (a wavelength of 1.5418 Å).
Intensities are scaled so that the largest is 100.

Most intense lines, 2θ = 10–90°, by angle:
2θ/deg	I/Imax	hkl
28.6	14	2 2 0
36.1	25	2 2 1
41.3	100	0 4 1
41.8	78	3 1 1
43.5	38	3 3 0
43.9	43	0 0 2
56.9	14	3 5 0
63.5	24	3 3 2
78.9	14	0 4 3
86.8	22	6 4 1

Structure:
Cell lengths 7.851, 10.293, 4.129 Å; angles 90.00, 90.00, 90.00 degrees
Space group Cmmm (No. 65)
Symmetry-distinct sites (fractional):
Co (0.000, 0.000, 0.000) [2 per cell]
Cu (0.000, 0.383, 0.500) [4 per cell]
Pd (0.000, 0.249, 0.000) [4 per cell]
Pd (0.171, 0.500, 0.000) [4 per cell]
Pd (0.172, 0.132, 0.500) [8 per cell]